Record 1
Starting from a crystal structure in Alexandria, relaxed with GGA-PBE, the powder diffraction line list of CsBr3 was calculated for CuKα.
Lines closer than 0.1° are merged.

Principal peaks in the range 2θ from 10° to 90°, in order of rising 2θ:
| d_spacing | 2theta | intensity | hkl |
| --- | --- | --- | --- |
| 3.794 | 23.45 | 507 | 2 1 1 |
| 3.723 | 23.90 | 429 | 1 1 2 |
| 3.549 | 25.09 | 388 | 2 0 2 |
| 3.434 | 25.95 | 1000 | 0 2 0 |
| 3.153 | 28.30 | 670 | 2 1 2 |
| 2.600 | 34.50 | 413 | 3 1 2 |
| 2.468 | 36.41 | 288 | 2 2 2 |
| 1.718 | 53.34 | 314 | 0 4 0 |

```
data_CsBr3
_space_group_name_H-M_alt 'P n m a'
_space_group_IT_number 62
_cell_length_a 10.2746
_cell_length_b 6.8671
_cell_length_c 9.8197
_cell_angle_alpha 90.00
_cell_angle_beta 90.00
_cell_angle_gamma 90.00
loop_
_space_group_symop_operation_xyz
'x,y,z'
'-x,-y,-z'
'-x+1/2,-y,z+1/2'
'x+1/2,y,-z+1/2'
'x+1/2,-y+1/2,-z+1/2'
'-x+1/2,y+1/2,z+1/2'
'-x,y+1/2,-z'
'x,-y+1/2,z'
loop_
_atom_site_label
_atom_site_fract_x
_atom_site_fract_y
_atom_site_fract_z
Cs1 0.1895 0.2500 0.0392
Br1 0.0521 0.7500 0.2603
Br2 0.1298 0.2500 0.5668
Br3 0.1762 0.7500 0.8882
```

***

Record 2
Starting from a crystal structure in Alexandria, relaxed with GGA-PBE, the powder diffraction line list of LaPm4Dy2Mg was calculated for CuKα.
Lines closer than 0.1° are merged.

Principal peaks in the range 2θ from 10° to 90°, in order of rising 2θ:
| d_spacing | 2theta | intensity | hkl |
| --- | --- | --- | --- |
| 3.292 | 27.09 | 435 | 0 0 4 |
| 2.949 | 30.30 | 1000 | 2 2 0 |
| 2.197 | 41.09 | 857 | 2 2 4 |
| 1.702 | 53.88 | 133 | 2 6 0 |
| 1.512 | 61.33 | 175 | 2 6 4 |
| 1.437 | 64.88 | 208 | 2 2 8 |
| 1.347 | 69.85 | 118 | 4 4 4 |
| 1.183 | 81.30 | 110 | 2 6 8 |

```
data_LaPm4Dy2Mg
_space_group_name_H-M_alt 'I m m a'
_space_group_IT_number 74
_space_group_name_Hall '-I 2b 2'
_cell_length_a 6.8203
_cell_length_b 11.7821
_cell_length_c 13.1663
_cell_angle_alpha 90.00
_cell_angle_beta 90.00
_cell_angle_gamma 90.00
loop_
_atom_site_label
_atom_site_fract_x
_atom_site_fract_y
_atom_site_fract_z
La1 0.2500 0.2500 0.2500
Pm1 0.0000 0.0006 0.2385
Pm2 0.2441 0.2500 0.9995
Dy1 0.0000 0.0000 0.5000
Dy2 0.2500 0.2500 0.7500
Mg1 0.0000 0.0000 0.0000
```

***

Record 3
Starting from a crystal structure in Alexandria, relaxed with GGA-PBE, the powder diffraction line list of La2Ga3Cu12Ag was calculated for CuKα.
Lines closer than 0.1° are merged.

Principal peaks in the range 2θ from 10° to 90°, in order of rising 2θ:
| d_spacing | 2theta | intensity | hkl |
| --- | --- | --- | --- |
| 2.923 | 30.59 | 1000 | 1 1 3 |
| 2.615 | 34.29 | 333 | 2 0 2 |
| 2.579 | 34.78 | 464 | 1 1 6 |
| 2.512 | 35.74 | 390 | 1 0 10 |
| 2.492 | 36.04 | 366 | 0 2 4 |
| 2.329 | 38.66 | 501 | 0 1 11 |
| 2.132 | 42.41 | 506 | 2 0 8 |
| 1.536 | 60.25 | 393 | 2 2 0 |

```
data_La2Ga3Cu12Ag
_space_group_name_H-M_alt 'R -3 m'
_space_group_IT_number 166
_space_group_name_Hall '-R 3 2"'
_cell_length_a 6.1438
_cell_length_b 6.1438
_cell_length_c 28.4973
_cell_angle_alpha 90.00
_cell_angle_beta 90.00
_cell_angle_gamma 120.00
loop_
_atom_site_label
_atom_site_fract_x
_atom_site_fract_y
_atom_site_fract_z
La1 0.0000 0.0000 0.1488
Ga1 0.0000 0.5000 0.0000
Cu1 0.0451 0.5226 0.0939
Cu2 0.0717 0.5359 0.6177
Ag1 0.0000 0.0000 0.5000
```

***

Record 4
Starting from a crystal structure in Alexandria, relaxed with GGA-PBE, the powder diffraction line list of PmPr7Dy4 was calculated for CuKα.
Lines closer than 0.1° are merged.

Principal peaks in the range 2θ from 10° to 90°, in order of rising 2θ:
| d_spacing | 2theta | intensity | hkl |
| --- | --- | --- | --- |
| 3.168 | 28.17 | 360 | 1 -2 0 |
| 2.944 | 30.36 | 507 | 0 0 3 |
| 2.875 | 31.11 | 1000 | 2 0 2 |
| 2.734 | 32.76 | 895 | 2 0 -1 |
| 1.844 | 49.43 | 262 | 3 2 1 |
| 1.718 | 53.33 | 214 | 2 0 5 |
| 1.628 | 56.53 | 193 | 2 0 -4 |
| 1.563 | 59.12 | 306 | 3 2 4 |

```
data_PmPr7Dy4
_space_group_name_H-M_alt 'P -1'
_space_group_IT_number 2
_cell_length_a 6.3916
_cell_length_b 7.3595
_cell_length_c 9.0838
_cell_angle_alpha 89.97
_cell_angle_beta 76.49
_cell_angle_gamma 89.99
loop_
_space_group_symop_operation_xyz
'x,y,z'
'-x,-y,-z'
loop_
_atom_site_label
_atom_site_fract_x
_atom_site_fract_y
_atom_site_fract_z
Pm1 0.0000 0.0000 0.0000
Pr1 0.0000 0.5000 0.0000
Pr2 0.2223 0.0004 0.3344
Pr3 0.2810 0.2517 0.6642
Pr4 0.4998 0.2535 0.0021
Dy1 0.2184 0.5002 0.3352
Dy2 0.2776 0.7459 0.6669
```